[1]
# Pm3Tm2Ga3
Calculated powder diffraction line list, a wavelength of 1.5418 Å. Input: a cell relaxed with PBE.
Lines closer than 0.1° are merged.

Main lines, most intense first (10 to 90 degrees two-theta):
| two_theta | I_rel |
| --- | --- |
| 34.08 | 100 |
| 34.23 | 27 |
| 32.98 | 20 |
| 61.19 | 20 |
| 26.65 | 17 |
| 48.26 | 14 |
| 61.69 | 10 |
| 49.65 | 10 |
| 71.75 | 9 |
| 59.60 | 9 |

Structure:
```
Pm3Tm2Ga3
1.0
-1.8363 2.6199 10.8646
1.8363 -2.6199 10.8646
1.8363 2.6199 -10.8646
Pm Tm Ga
3 2 3
Direct
0.0000 0.0000 0.0000 Pm
0.3808 0.8808 0.5000 Pm
0.6192 0.1192 0.5000 Pm
0.2295 0.2295 0.0000 Tm
0.7705 0.7705 0.0000 Tm
0.1217 0.6217 0.5000 Ga
0.5000 0.5000 0.0000 Ga
0.8783 0.3783 0.5000 Ga
```



[2]
# Nd5Al2Zn
Calculated powder diffraction line list, a wavelength of 1.5418 Å. Input: a cell relaxed with PBE.
Lines closer than 0.1° are merged.

Main lines, most intense first (10 to 90 degrees two-theta):
| two_theta | I_rel |
| --- | --- |
| 31.02 | 100 |
| 32.77 | 56 |
| 36.34 | 44 |
| 51.45 | 38 |
| 26.15 | 37 |
| 28.39 | 28 |
| 55.35 | 23 |
| 49.19 | 20 |
| 32.39 | 19 |
| 35.23 | 16 |

Structure:
```
Nd5Al2Zn
1.0
-3.9089 3.9089 7.6433
3.9089 -3.9089 7.6433
3.9089 3.9089 -7.6433
Nd Al Zn
10 4 2
Direct
0.0000 0.0000 0.0000 Nd
0.0242 0.5242 0.8469 Nd
0.1773 0.0242 0.5000 Nd
0.3227 0.8227 0.8469 Nd
0.4758 0.3227 0.5000 Nd
0.5000 0.5000 0.0000 Nd
0.5242 0.6773 0.5000 Nd
0.6773 0.1773 0.1531 Nd
0.8227 0.9758 0.5000 Nd
0.9758 0.4758 0.1531 Nd
0.1173 0.3827 0.5000 Al
0.3827 0.8827 0.2654 Al
0.6173 0.1173 0.7346 Al
0.8827 0.6173 0.5000 Al
0.2500 0.2500 0.0000 Zn
0.7500 0.7500 0.0000 Zn
```



[3]
# MoPd8Au6
Calculated powder diffraction line list, a wavelength of 1.5418 Å. Input: a cell relaxed with PBE.
Lines closer than 0.1° are merged.

Main lines, most intense first (10 to 90 degrees two-theta):
| two_theta | I_rel |
| --- | --- |
| 40.06 | 100 |
| 35.68 | 53 |
| 51.35 | 18 |
| 64.09 | 16 |
| 75.57 | 14 |
| 67.05 | 13 |
| 78.33 | 11 |
| 42.96 | 11 |
| 38.24 | 10 |
| 76.76 | 7 |

Structure:
```
MoPd8Au6
1.0
7.6883 0.0000 0.0000
-3.8442 6.6583 0.0000
0.0000 0.0000 5.0324
Mo Pd Au
1 8 6
Direct
0.0000 0.0000 0.0000 Mo
0.0512 0.7787 0.7001 Pd
0.2213 0.2725 0.7001 Pd
0.2725 0.0512 0.2999 Pd
0.3333 0.6667 0.6986 Pd
0.6667 0.3333 0.3014 Pd
0.7275 0.9488 0.7001 Pd
0.7787 0.7275 0.2999 Pd
0.9488 0.2213 0.2999 Pd
0.1022 0.6387 0.2056 Au
0.3613 0.4635 0.2056 Au
0.4635 0.1022 0.7944 Au
0.5365 0.8978 0.2056 Au
0.6387 0.5365 0.7944 Au
0.8978 0.3613 0.7944 Au
```



[4]
# Pu2PaMo
Calculated powder diffraction line list, a wavelength of 1.5418 Å. Input: a cell relaxed with PBE.
Lines closer than 0.1° are merged.

Main lines, most intense first (10 to 90 degrees two-theta):
| two_theta | I_rel |
| --- | --- |
| 36.30 | 100 |
| 65.31 | 37 |
| 52.28 | 18 |
| 88.31 | 17 |
| 77.08 | 12 |
| 22.00 | 6 |
| 25.45 | 4 |
| 42.85 | 3 |
| 59.02 | 2 |
| 57.38 | 2 |

Structure:
```
Pu2PaMo
1.0
0.0000 3.4997 3.4997
3.4997 0.0000 3.4997
3.4997 3.4997 0.0000
Pu Pa Mo
2 1 1
Direct
0.2500 0.2500 0.2500 Pu
0.7500 0.7500 0.7500 Pu
0.0000 0.0000 0.0000 Pa
0.5000 0.5000 0.5000 Mo
```



[5]
# NdPu2Zn2Ge2
Calculated powder diffraction line list, a wavelength of 1.5418 Å. Input: a cell relaxed with PBE.
Lines closer than 0.1° are merged.

Main lines, most intense first (10 to 90 degrees two-theta):
| two_theta | I_rel |
| --- | --- |
| 33.92 | 100 |
| 44.27 | 68 |
| 25.33 | 28 |
| 60.40 | 25 |
| 56.91 | 23 |
| 74.81 | 20 |
| 29.91 | 16 |
| 19.18 | 16 |
| 38.93 | 15 |
| 69.60 | 13 |

Structure:
```
NdPu2Zn2Ge2
1.0
2.0461 1.1813 9.2540
-2.0461 1.1813 9.2540
0.0000 -2.3627 9.2540
Nd Pu Zn Ge
1 2 2 2
Direct
0.0000 0.0000 0.0000 Nd
0.1526 0.1526 0.1526 Pu
0.8474 0.8474 0.8474 Pu
0.4165 0.4165 0.4165 Zn
0.5835 0.5835 0.5835 Zn
0.2608 0.2608 0.2608 Ge
0.7392 0.7392 0.7392 Ge
```



[6]
# Na4CaGe2
Calculated powder diffraction line list, a wavelength of 1.5418 Å. Input: a cell relaxed with PBE.
Lines closer than 0.1° are merged.

Main lines, most intense first (10 to 90 degrees two-theta):
| two_theta | I_rel |
| --- | --- |
| 31.38 | 100 |
| 28.46 | 57 |
| 40.13 | 53 |
| 20.27 | 34 |
| 38.19 | 23 |
| 19.77 | 22 |
| 34.21 | 21 |
| 42.42 | 19 |
| 43.36 | 19 |
| 67.48 | 19 |

Structure:
```
Na4CaGe2
1.0
2.2483 -9.6833 0.0000
2.2483 9.6833 0.0000
0.0000 0.0000 4.4917
Na Ca Ge
4 1 2
Direct
0.1677 0.8323 0.0000 Na
0.3317 0.6683 0.5000 Na
0.6683 0.3317 0.5000 Na
0.8323 0.1677 0.0000 Na
0.0000 0.0000 0.5000 Ca
0.4384 0.5616 0.0000 Ge
0.5616 0.4384 0.0000 Ge
```